The following is a computed powder X-ray diffraction pattern of CdH6C2I2N2O2. It was derived from a DFT-relaxed cell (PBE, the Materials Project), using Cu Kα X-rays.

Peak list (6 most intense, 5 to 70 degrees two-theta, most intense first)
(0 1 -1), d 6.882, 12.86°, intensity 100
(0 0 1), d 7.591, 11.66°, intensity 91
(0 1 -2), d 4.180, 21.26°, intensity 72
(-1 1 1), d 3.229, 27.62°, intensity 47
(1 -2 0), d 2.846, 31.43°, intensity 46
(1 1 0), d 3.521, 25.30°, intensity 43

Structure:
a = 4.2760 Å, b = 7.9009 Å, c = 8.4449 Å
α = 115.20°, β = 95.05°, γ = 92.13°
Fractional positions:
Cd (0.0000, 0.0000, 0.0000)
H (0.1310, 0.8680, 0.5310)
H (0.2044, 0.6859, 0.1458)
H (0.2786, 0.6516, 0.4047)
H (0.7214, 0.3484, 0.5953)
H (0.7956, 0.3141, 0.8542)
H (0.8690, 0.1320, 0.4690)
C (0.1380, 0.7987, 0.2673)
C (0.8620, 0.2013, 0.7327)
I (0.4537, 0.7144, 0.8311)
I (0.5463, 0.2856, 0.1689)
N (0.1882, 0.7714, 0.4116)
N (0.8118, 0.2286, 0.5884)
O (0.0252, 0.9429, 0.2644)
O (0.9748, 0.0571, 0.7356)